1.
LaPm2Sm6Mg: computed powder diffractogram (Cu Kα), based on a DFT-relaxed cell (PBE, Alexandria).
Lines closer than 0.1° are merged.

Structural model:
```
data_LaPm2Sm6Mg
_symmetry_space_group_name_H-M 'C 1 2/c 1'
_symmetry_Int_Tables_number 15
_symmetry_space_group_name_Hall '-C 2yc'
_cell_length_a 9.414
_cell_length_b 15.479
_cell_length_c 9.189
_cell_angle_alpha 90.00
_cell_angle_beta 91.16
_cell_angle_gamma 90.00
loop_
_atom_site_label
_atom_site_fract_x
_atom_site_fract_y
_atom_site_fract_z
_atom_site_occupancy
La1 0.000 0.026 0.250 1
Pm1 0.227 0.441 0.442 1
Sm1 0.034 0.181 0.942 1
Sm2 0.113 0.384 0.095 1
Sm3 0.218 0.211 0.288 1
Mg1 0.000 0.423 0.750 1
```

Peak list (12 most intense, 2θ = 5–70°, by intensity)
d [Å], two_theta, I_rel, index
2.849, 31.40, 100, 0 2 3
2.936, 30.44, 97, 3 1 -1
3.000, 29.78, 59, 2 2 2
3.208, 27.81, 44, 1 3 2
3.052, 29.26, 35, 2 2 -2
2.548, 35.23, 24, 1 3 -3
2.806, 31.89, 23, 1 5 -1
3.075, 29.04, 19, 3 1 0
2.832, 31.60, 19, 2 4 1
2.532, 35.45, 17, 3 1 2
1.973, 46.00, 16, 0 6 3
1.502, 61.74, 15, 4 6 3

2.
La2PmSmMg: computed powder diffractogram (Cu Kα), based on a DFT-relaxed cell (PBE, Alexandria).
Lines closer than 0.1° are merged.

Structural model:
```
data_La2PmSmMg
_symmetry_space_group_name_H-M 'P 1 21/m 1'
_symmetry_Int_Tables_number 11
_symmetry_space_group_name_Hall '-P 2yb'
_cell_length_a 6.285
_cell_length_b 5.769
_cell_length_c 9.615
_cell_angle_alpha 90.00
_cell_angle_beta 108.53
_cell_angle_gamma 90.00
loop_
_atom_site_label
_atom_site_fract_x
_atom_site_fract_y
_atom_site_fract_z
_atom_site_occupancy
La1 0.010 0.250 0.386 1
La2 0.249 0.250 0.793 1
Pm1 0.364 0.750 0.396 1
Sm1 0.179 0.750 0.006 1
Mg1 0.414 0.250 0.193 1
```

Peak list (12 most intense, 2θ = 5–70°, by intensity)
d [Å], two_theta, I_rel, index
2.759, 32.45, 100, 2 1 -1
2.776, 32.24, 60, 1 1 2
2.885, 31.00, 41, 0 2 0
3.142, 28.41, 30, 1 0 -3
1.541, 60.02, 24, 0 2 5
1.640, 56.07, 21, 2 3 -1
2.125, 42.55, 20, 1 2 -3
1.824, 50.01, 20, 0 0 5
1.516, 61.14, 18, 2 1 -6
4.137, 21.48, 15, 1 1 -1
1.644, 55.94, 12, 1 3 2
1.533, 60.40, 11, 3 2 -4

3.
LaTb2Pm6Mg: computed powder diffractogram (Cu Kα), based on a DFT-relaxed cell (PBE, Alexandria).
Lines closer than 0.1° are merged.

Structural model:
```
data_LaTb2Pm6Mg
_symmetry_space_group_name_H-M 'C 1 2/c 1'
_symmetry_Int_Tables_number 15
_symmetry_space_group_name_Hall '-C 2yc'
_cell_length_a 9.420
_cell_length_b 15.989
_cell_length_c 8.898
_cell_angle_alpha 90.00
_cell_angle_beta 90.68
_cell_angle_gamma 90.00
loop_
_atom_site_label
_atom_site_fract_x
_atom_site_fract_y
_atom_site_fract_z
_atom_site_occupancy
La1 0.000 0.034 0.250 1
Tb1 0.226 0.446 0.444 1
Pm1 0.039 0.166 0.951 1
Pm2 0.105 0.369 0.089 1
Pm3 0.244 0.288 0.700 1
Mg1 0.000 0.443 0.750 1
```

Peak list (12 most intense, 2θ = 5–70°, by intensity)
d [Å], two_theta, I_rel, index
2.780, 32.19, 100, 0 2 3
2.873, 31.13, 98, 1 5 -1
2.980, 29.99, 93, 2 2 2
3.201, 27.87, 92, 1 3 2
3.013, 29.65, 82, 2 2 -2
2.922, 30.60, 53, 3 1 -1
2.890, 30.94, 44, 2 4 -1
2.521, 35.62, 38, 3 1 2
3.081, 28.98, 36, 3 1 0
2.552, 35.17, 34, 0 6 1
2.901, 30.82, 31, 3 1 1
2.863, 31.24, 28, 1 5 1

4.
LaTb2Pm2Mg: computed powder diffractogram (Cu Kα), based on a DFT-relaxed cell (PBE, Alexandria).
Lines closer than 0.1° are merged.

Structural model:
```
data_LaTb2Pm2Mg
_symmetry_space_group_name_H-M 'P n n m'
_symmetry_Int_Tables_number 58
_symmetry_space_group_name_Hall '-P 2 2n'
_cell_length_a 6.186
_cell_length_b 18.888
_cell_length_c 3.429
_cell_angle_alpha 90.00
_cell_angle_beta 90.00
_cell_angle_gamma 90.00
loop_
_atom_site_label
_atom_site_fract_x
_atom_site_fract_y
_atom_site_fract_z
_atom_site_occupancy
La1 0.000 0.000 0.000 1
Tb1 0.163 0.203 0.000 1
Pm1 0.164 0.363 0.500 1
Mg1 0.000 0.500 0.000 1
```

Peak list (12 most intense, 2θ = 5–70°, by intensity)
d [Å], two_theta, I_rel, index
3.052, 29.26, 100, 2 1 0
3.374, 26.41, 94, 0 1 1
2.806, 31.90, 89, 1 6 0
2.532, 35.46, 76, 1 4 1
2.232, 40.42, 66, 2 2 1
3.012, 29.66, 66, 0 3 1
2.708, 33.08, 62, 1 3 1
9.444, 9.36, 62, 0 2 0
3.224, 27.67, 59, 1 5 0
1.720, 53.27, 42, 1 9 1
2.158, 41.87, 41, 2 3 1
2.939, 30.41, 39, 2 2 0

5.
LaPm4Y2Mg: computed powder diffractogram (Cu Kα), based on a DFT-relaxed cell (PBE, Alexandria).
Lines closer than 0.1° are merged.

Structural model:
```
data_LaPm4Y2Mg
_symmetry_space_group_name_H-M 'I m m a'
_symmetry_Int_Tables_number 74
_symmetry_space_group_name_Hall '-I 2b 2'
_cell_length_a 6.819
_cell_length_b 11.817
_cell_length_c 13.201
_cell_angle_alpha 90.00
_cell_angle_beta 90.00
_cell_angle_gamma 90.00
loop_
_atom_site_label
_atom_site_fract_x
_atom_site_fract_y
_atom_site_fract_z
_atom_site_occupancy
La1 0.250 0.250 0.250 1
Pm1 0.000 0.004 0.238 1
Pm2 0.242 0.250 0.001 1
Y1 0.000 0.000 0.500 1
Y2 0.250 0.250 0.750 1
Mg1 0.000 0.000 0.000 1
```

Peak list (12 most intense, 2θ = 5–70°, by intensity)
d [Å], two_theta, I_rel, index
2.954, 30.26, 100, 2 2 0
2.201, 41.01, 85, 2 2 4
3.300, 27.02, 44, 0 0 4
1.515, 61.18, 26, 2 6 4
1.441, 64.71, 20, 2 2 8
1.705, 53.76, 20, 2 6 0
1.348, 69.77, 17, 0 8 4
1.477, 62.94, 12, 0 8 0
4.402, 20.17, 12, 0 2 2
1.650, 55.70, 5, 0 0 8
3.029, 29.49, 5, 2 0 2
3.134, 28.48, 4, 1 2 3

6.
La2Pm5YMg: computed powder diffractogram (Cu Kα), based on a DFT-relaxed cell (PBE, Alexandria).
Lines closer than 0.1° are merged.

Structural model:
```
data_La2Pm5YMg
_symmetry_space_group_name_H-M 'C m c m'
_symmetry_Int_Tables_number 63
_symmetry_space_group_name_Hall '-C 2c 2'
_cell_length_a 5.606
_cell_length_b 20.179
_cell_length_c 10.871
_cell_angle_alpha 90.00
_cell_angle_beta 90.00
_cell_angle_gamma 90.00
loop_
_atom_site_label
_atom_site_fract_x
_atom_site_fract_y
_atom_site_fract_z
_atom_site_occupancy
La1 0.000 0.116 0.042 1
Pm1 0.000 0.015 0.750 1
Pm2 0.000 0.288 0.052 1
Pm3 0.000 0.382 0.750 1
Pm4 0.000 0.500 0.000 1
Y1 0.000 0.203 0.750 1
Mg1 0.000 0.405 0.250 1
```

Peak list (12 most intense, 2θ = 5–70°, by intensity)
d [Å], two_theta, I_rel, index
2.805, 31.91, 100, 2 0 0
3.009, 29.69, 30, 1 1 3
1.619, 56.87, 16, 3 5 2
3.213, 27.77, 13, 0 6 1
3.375, 26.41, 12, 1 3 2
2.718, 32.96, 11, 0 0 4
1.530, 60.52, 9, 2 6 5
1.951, 46.54, 9, 2 0 4
2.112, 42.81, 8, 2 6 1
1.826, 49.95, 8, 0 6 5
1.571, 58.77, 8, 1 11 3
2.018, 44.93, 7, 0 10 0

7.
La8Pr4Mg: computed powder diffractogram (Cu Kα), based on a DFT-relaxed cell (PBE, Alexandria).
Lines closer than 0.1° are merged.

Structural model:
```
data_La8Pr4Mg
_symmetry_space_group_name_H-M 'R -3 m'
_symmetry_Int_Tables_number 166
_symmetry_space_group_name_Hall '-R 3 2"'
_cell_length_a 11.8670
_cell_length_b 11.8670
_cell_length_c 11.9559
_cell_angle_alpha 90.00
_cell_angle_beta 90.00
_cell_angle_gamma 120.00
loop_
_atom_site_label
_atom_site_fract_x
_atom_site_fract_y
_atom_site_fract_z
_atom_site_occupancy
La1 0.0000 0.0000 0.2380 1
La2 0.0010 0.5005 0.3308 1
Pr1 0.0000 0.0000 0.0000 1
Pr2 0.0000 0.5000 0.0000 1
Mg1 0.0000 0.0000 0.5000 1
```

Peak list (12 most intense, 2θ = 5–70°, by intensity)
d [Å], two_theta, I_rel, index
2.967, 30.12, 100, 2 2 0
2.380, 37.80, 64, 2 2 3
3.985, 22.31, 42, 0 0 3
1.713, 53.50, 20, 6 0 0
1.574, 58.67, 18, 6 0 3
1.654, 55.56, 17, 2 2 6
1.483, 62.63, 12, 4 4 0
3.308, 26.95, 12, 1 1 3
1.390, 67.36, 12, 4 4 3
2.369, 37.98, 6, 2 1 4
2.598, 34.53, 6, 0 3 3
2.584, 34.72, 6, 0 2 4

8.
La2Pr3Mg3: computed powder diffractogram (Cu Kα), based on a DFT-relaxed cell (PBE, Alexandria).
Lines closer than 0.1° are merged.

Structural model:
```
data_La2Pr3Mg3
_symmetry_space_group_name_H-M 'I m m m'
_symmetry_Int_Tables_number 71
_symmetry_space_group_name_Hall '-I 2 2'
_cell_length_a 3.943
_cell_length_b 5.630
_cell_length_c 23.173
_cell_angle_alpha 90.00
_cell_angle_beta 90.00
_cell_angle_gamma 90.00
loop_
_atom_site_label
_atom_site_fract_x
_atom_site_fract_y
_atom_site_fract_z
_atom_site_occupancy
La1 0.000 0.000 0.235 1
Pr1 0.000 0.000 0.000 1
Pr2 0.000 0.500 0.121 1
Mg1 0.000 0.000 0.500 1
Mg2 0.000 0.500 0.384 1
```

Peak list (12 most intense, 2θ = 5–70°, by intensity)
d [Å], two_theta, I_rel, index
2.820, 31.73, 100, 0 2 0
3.578, 24.88, 23, 0 1 5
2.897, 30.87, 18, 0 0 8
1.626, 56.59, 16, 1 3 4
3.888, 22.88, 15, 1 0 1
2.019, 44.90, 13, 0 2 8
1.657, 55.44, 10, 1 1 12
4.550, 19.51, 9, 0 1 3
2.156, 41.90, 9, 1 0 9
1.712, 53.54, 8, 1 2 9
1.615, 57.02, 8, 2 2 0
2.280, 39.53, 8, 1 2 1

9.
La7PrMg4: computed powder diffractogram (Cu Kα), based on a DFT-relaxed cell (PBE, Alexandria).
Lines closer than 0.1° are merged.

Structural model:
```
data_La7PrMg4
_symmetry_space_group_name_H-M 'C 1 2/m 1'
_symmetry_Int_Tables_number 12
_symmetry_space_group_name_Hall '-C 2y'
_cell_length_a 15.776
_cell_length_b 5.975
_cell_length_c 9.998
_cell_angle_alpha 90.00
_cell_angle_beta 121.38
_cell_angle_gamma 90.00
loop_
_atom_site_label
_atom_site_fract_x
_atom_site_fract_y
_atom_site_fract_z
_atom_site_occupancy
La1 0.000 0.000 0.000 1
La2 0.083 0.500 0.427 1
La3 0.199 0.500 0.885 1
La4 0.248 0.000 0.718 1
Pr1 0.000 0.500 0.000 1
Mg1 0.037 0.000 0.693 1
Mg2 0.175 0.000 0.348 1
```

Peak list (12 most intense, 2θ = 5–70°, by intensity)
d [Å], two_theta, I_rel, index
2.988, 29.91, 100, 0 2 0
2.729, 32.81, 81, 5 1 -1
2.891, 30.93, 73, 3 1 -3
3.064, 29.15, 62, 1 1 2
2.973, 30.06, 59, 2 0 2
3.115, 28.65, 58, 4 0 -3
3.902, 22.79, 52, 4 0 -1
2.107, 42.92, 45, 2 2 2
2.156, 41.90, 43, 4 2 -3
2.774, 32.27, 39, 1 1 -3
5.462, 16.23, 37, 1 1 0
2.372, 37.93, 28, 4 2 -1

10.
La6Pr2Mg: computed powder diffractogram (Cu Kα), based on a DFT-relaxed cell (PBE, Alexandria).
Lines closer than 0.1° are merged.

Structural model:
```
data_La6Pr2Mg
_symmetry_space_group_name_H-M 'P -1'
_symmetry_Int_Tables_number 2
_symmetry_space_group_name_Hall '-P 1'
_cell_length_a 6.937
_cell_length_b 9.517
_cell_length_c 11.211
_cell_angle_alpha 112.96
_cell_angle_beta 105.21
_cell_angle_gamma 96.22
loop_
_atom_site_label
_atom_site_fract_x
_atom_site_fract_y
_atom_site_fract_z
_atom_site_occupancy
La1 0.036 0.310 0.444 1
La2 0.055 0.306 0.111 1
La3 0.278 0.028 0.556 1
La4 0.291 0.029 0.892 1
La5 0.400 0.637 0.108 1
La6 0.408 0.634 0.443 1
Pr1 0.047 0.311 0.771 1
Pr2 0.277 0.041 0.229 1
Mg1 0.390 0.640 0.780 1
```

Peak list (12 most intense, 2θ = 5–70°, by intensity)
d [Å], two_theta, I_rel, index
2.839, 31.51, 100, 1 -1 3
2.942, 30.38, 35, 2 -2 0
3.226, 27.65, 25, 1 2 -3
2.823, 31.70, 24, 2 1 0
2.819, 31.74, 23, 2 1 -3
1.680, 54.64, 20, 3 -3 3
1.870, 48.70, 19, 1 2 3
2.180, 41.41, 15, 1 -4 3
1.577, 58.54, 11, 0 6 -3
3.245, 27.49, 10, 0 0 3
1.859, 49.01, 9, 2 4 -3
1.671, 54.94, 9, 4 -1 0

11.
LaPr5Mg6: computed powder diffractogram (Cu Kα), based on a DFT-relaxed cell (PBE, Alexandria).
Lines closer than 0.1° are merged.

Structural model:
```
data_LaPr5Mg6
_symmetry_space_group_name_H-M 'C m m m'
_symmetry_Int_Tables_number 65
_symmetry_space_group_name_Hall '-C 2 2'
_cell_length_a 5.543
_cell_length_b 16.632
_cell_length_c 7.853
_cell_angle_alpha 90.00
_cell_angle_beta 90.00
_cell_angle_gamma 90.00
loop_
_atom_site_label
_atom_site_fract_x
_atom_site_fract_y
_atom_site_fract_z
_atom_site_occupancy
La1 0.000 0.000 0.000 1
Pr1 0.000 0.000 0.500 1
Pr2 0.000 0.333 0.000 1
Pr3 0.000 0.335 0.500 1
Mg1 0.000 0.168 0.252 1
Mg2 0.000 0.500 0.252 1
```

Peak list (7 most intense, 2θ = 5–70°, by intensity)
d [Å], two_theta, I_rel, index
2.773, 32.28, 100, 2 0 0
3.922, 22.67, 58, 1 3 0
1.601, 57.56, 38, 3 3 2
1.754, 52.14, 25, 3 3 0
1.961, 46.30, 18, 2 6 0
2.264, 39.81, 18, 2 0 2
1.387, 67.55, 12, 4 0 0

12.
LaPr14Mg: computed powder diffractogram (Cu Kα), based on a DFT-relaxed cell (PBE, Alexandria).
Lines closer than 0.1° are merged.

Structural model:
```
data_LaPr14Mg
_symmetry_space_group_name_H-M 'A m m 2'
_symmetry_Int_Tables_number 38
_symmetry_space_group_name_Hall 'A 2 -2'
_cell_length_a 10.469
_cell_length_b 10.395
_cell_length_c 10.396
_cell_angle_alpha 90.00
_cell_angle_beta 90.00
_cell_angle_gamma 90.00
loop_
_atom_site_label
_atom_site_fract_x
_atom_site_fract_y
_atom_site_fract_z
_atom_site_occupancy
La1 0.000 0.000 0.000 1
Pr1 0.000 0.250 0.250 1
Pr2 0.247 0.000 0.253 1
Pr3 0.247 0.248 0.500 1
Pr4 0.248 0.000 0.748 1
Pr5 0.500 0.000 0.000 1
Pr6 0.500 0.000 0.500 1
Pr7 0.500 0.250 0.250 1
Mg1 0.000 0.000 0.500 1
```

Peak list (12 most intense, 2θ = 5–70°, by intensity)
d [Å], two_theta, I_rel, index
3.008, 29.70, 100, 2 2 2
2.599, 34.51, 34, 0 4 0
1.568, 58.89, 29, 2 6 2
1.844, 49.42, 24, 4 4 0
2.617, 34.26, 17, 4 0 0
1.576, 58.56, 15, 6 2 2
1.504, 61.67, 12, 4 4 4
1.838, 49.61, 12, 0 4 4
6.016, 14.73, 1, 1 1 1
4.656, 19.06, 1, 1 0 2
10.469, 8.45, 1, 1 0 0
4.264, 20.83, 1, 2 1 1